[1]
This entry pairs a crystal structure of LaPr5Ho3 with its theoretical X-ray diffraction stick pattern. Radiation: Cu Ka. Structure: DFT lattice parameters and positions (GGA-PBE).
No peak broadening, texture or thermal motion is included.

Principal peaks in the range 2θ = 10–80°, most intense first:
two_theta	I (rel.)
31.18	100
31.33	42
31.45	35
27.53	26
33.12	24
34.24	23
28.97	21
23.90	14
58.27	11
44.13	11

Cell and atoms:
```
data_LaPr5Ho3
_chemical_formula_sum 'La2 Pr10 Ho6'
_cell_length_a 9.994
_cell_length_b 9.994
_cell_length_c 11.423
_cell_angle_alpha 112.64
_cell_angle_beta 112.64
_cell_angle_gamma 38.58
_space_group_name_H-M_alt 'P 1'
_space_group_IT_number 1
_space_group_name_Hall 'P 1'
loop_
_atom_site_label
_atom_site_type_symbol
_atom_site_fract_x
_atom_site_fract_y
_atom_site_fract_z
La1 La 0.142 0.858 0.750
La2 La 0.858 0.142 0.250
Pr1 Pr 0.003 0.659 0.137
Pr2 Pr 0.136 0.528 0.791
Pr3 Pr 0.341 0.997 0.363
Pr4 Pr 0.399 0.601 0.250
Pr5 Pr 0.472 0.864 0.709
Pr6 Pr 0.528 0.136 0.291
Pr7 Pr 0.601 0.399 0.750
Pr8 Pr 0.659 0.003 0.637
Pr9 Pr 0.864 0.472 0.209
Pr10 Pr 0.997 0.341 0.863
Ho1 Ho 0.000 0.000 0.000
Ho2 Ho 0.000 0.000 0.500
Ho3 Ho 0.138 0.540 0.486
Ho4 Ho 0.460 0.862 0.014
Ho5 Ho 0.540 0.138 0.986
Ho6 Ho 0.862 0.460 0.514
```

---

[2]
This entry pairs a crystal structure of Sr6H12Rh with its theoretical X-ray diffraction stick pattern. Radiation: Cu Ka. Structure: DFT lattice parameters and positions (GGA-PBE).
No peak broadening, texture or thermal motion is included.

Principal peaks in the range 2θ = 10–80°, most intense first:
two_theta	I (rel.)
28.06	100
32.12	65
26.68	37
54.81	28
45.17	26
46.94	23
53.24	14
55.58	13
58.02	12
75.64	10

Cell and atoms:
```
data_Sr6H12Rh
_chemical_formula_sum 'Sr6 H12 Rh1'
_cell_length_a 6.792
_cell_length_b 6.792
_cell_length_c 6.792
_cell_angle_alpha 97.87
_cell_angle_beta 97.87
_cell_angle_gamma 97.87
_space_group_name_H-M_alt 'P 1'
_space_group_IT_number 1
_space_group_name_Hall 'P 1'
loop_
_atom_site_label
_atom_site_type_symbol
_atom_site_fract_x
_atom_site_fract_y
_atom_site_fract_z
Sr1 Sr 0.097 0.786 0.653
Sr2 Sr 0.214 0.347 0.903
Sr3 Sr 0.347 0.903 0.214
Sr4 Sr 0.653 0.097 0.786
Sr5 Sr 0.786 0.653 0.097
Sr6 Sr 0.903 0.214 0.347
H1 H 0.031 0.891 0.333
H2 H 0.109 0.667 0.969
H3 H 0.241 0.463 0.508
H4 H 0.333 0.031 0.891
H5 H 0.463 0.508 0.241
H6 H 0.492 0.759 0.537
H7 H 0.508 0.241 0.463
H8 H 0.537 0.492 0.759
H9 H 0.667 0.969 0.109
H10 H 0.759 0.537 0.492
H11 H 0.891 0.333 0.031
H12 H 0.969 0.109 0.667
Rh1 Rh 0.500 0.500 0.500
```

---

[3]
This entry pairs a crystal structure of Dy2MgCd5 with its theoretical X-ray diffraction stick pattern. Radiation: Cu Ka. Structure: DFT lattice parameters and positions (GGA-PBE).
No peak broadening, texture or thermal motion is included.

Principal peaks in the range 2θ = 10–80°, most intense first:
two_theta	I (rel.)
34.34	100
37.21	41
65.26	30
59.58	18
53.64	14
44.78	11
72.38	10
28.35	10
75.79	8
10.93	7

Cell and atoms:
```
data_Dy2MgCd5
_chemical_formula_sum 'Dy4 Mg2 Cd10'
_cell_length_a 4.833
_cell_length_b 4.833
_cell_length_c 16.193
_cell_angle_alpha 90.00
_cell_angle_beta 90.00
_cell_angle_gamma 90.00
_space_group_name_H-M_alt 'P 1'
_space_group_IT_number 1
_space_group_name_Hall 'P 1'
loop_
_atom_site_label
_atom_site_type_symbol
_atom_site_fract_x
_atom_site_fract_y
_atom_site_fract_z
Dy1 Dy 0.000 0.000 0.248
Dy2 Dy 0.000 0.000 0.752
Dy3 Dy 0.500 0.500 0.252
Dy4 Dy 0.500 0.500 0.748
Mg1 Mg 0.000 0.000 0.500
Mg2 Mg 0.500 0.500 0.000
Cd1 Cd 0.000 0.000 0.000
Cd2 Cd 0.000 0.500 0.117
Cd3 Cd 0.000 0.500 0.383
Cd4 Cd 0.000 0.500 0.617
Cd5 Cd 0.000 0.500 0.883
Cd6 Cd 0.500 0.000 0.117
Cd7 Cd 0.500 0.000 0.383
Cd8 Cd 0.500 0.000 0.617
Cd9 Cd 0.500 0.000 0.883
Cd10 Cd 0.500 0.500 0.500
```

---

[4]
This entry pairs a crystal structure of Ge6Ru3Rh with its theoretical X-ray diffraction stick pattern. Radiation: Cu Ka. Structure: DFT lattice parameters and positions (GGA-PBE).
No peak broadening, texture or thermal motion is included.

Principal peaks in the range 2θ = 10–80°, most intense first:
two_theta	I (rel.)
43.06	100
34.45	68
55.39	41
20.27	30
26.33	24
72.63	20
54.98	18
37.43	15
31.13	11
60.10	11

Cell and atoms:
```
data_Ge6Ru3Rh
_chemical_formula_sum 'Ge6 Ru3 Rh1'
_cell_length_a 6.994
_cell_length_b 6.994
_cell_length_c 6.994
_cell_angle_alpha 48.50
_cell_angle_beta 48.50
_cell_angle_gamma 48.50
_space_group_name_H-M_alt 'P 1'
_space_group_IT_number 1
_space_group_name_Hall 'P 1'
loop_
_atom_site_label
_atom_site_type_symbol
_atom_site_fract_x
_atom_site_fract_y
_atom_site_fract_z
Ge1 Ge 0.001 0.352 0.647
Ge2 Ge 0.140 0.855 0.503
Ge3 Ge 0.352 0.647 0.001
Ge4 Ge 0.503 0.140 0.855
Ge5 Ge 0.647 0.001 0.352
Ge6 Ge 0.855 0.503 0.140
Ru1 Ru 0.082 0.082 0.082
Ru2 Ru 0.418 0.418 0.418
Ru3 Ru 0.919 0.919 0.919
Rh1 Rh 0.581 0.581 0.581
```